Diffraction record for NiCl. The PXRD pattern is theoretical, not measured: it uses a GGA-PBE-relaxed structure and Cu Kα, 1.54184 Å.
Intensities are scaled so that the largest is 100.

Structure:
Unit cell a=8.9183 b=8.9183 c=3.6664 alpha=90.00 beta=90.00 gamma=120.00
Space group P6_3/m (No. 176)
One atom of each set of equivalent atoms:
Ni (0.0184, 0.5995, 0.2500)
Cl (0.1319, 0.4000, 0.2500)

Largest 12 diffraction maxima, by angle, 10° ≤ 2θ ≤ 90°:
Position (°2θ)  I_rel
11.46  80
19.91  96
23.03  44
26.92  23
31.59  28
33.71  20
39.46  36
42.19  22
49.27  100
49.74  19
54.09  11
59.88  10

---

Diffraction record for RbNpNiCl6. The PXRD pattern is theoretical, not measured: it uses a GGA-PBE-relaxed structure and Cu Kα, 1.54184 Å.
Intensities are scaled so that the largest is 100.

Structure:
Unit cell a=6.4520 b=6.6015 c=7.4830 alpha=91.71 beta=94.08 gamma=115.07
Space group P1 (No. 1)
One atom of each set of equivalent atoms:
Rb (0.0000, 0.0000, 0.0000)
Np (0.3851, 0.6525, 0.5079)
Ni (0.7527, 0.3478, 0.4672)
Cl (0.0365, 0.6251, 0.2847)
Cl (0.0515, 0.3191, 0.6555)
Cl (0.4104, 0.9285, 0.7735)
Cl (0.4445, 0.3640, 0.2795)
Cl (0.6660, 0.9941, 0.3290)
Cl (0.7100, 0.5772, 0.6946)

Largest 12 diffraction maxima, by angle, 10° ≤ 2θ ≤ 90°:
Position (°2θ)  I_rel
11.88  100
14.85  25
16.11  26
18.44  82
19.67  33
19.81  37
20.26  56
25.54  21
27.18  38
31.06  24
33.51  29
36.88  39